No. 1
For Dy2HoFeCo2Ni6, a structure optimized by DFT (PBE) gives the calculated powder XRD pattern in this record (CuKα).
Lines closer than 0.1° are merged.

Structure:
Unit cell a=4.9290 b=4.9290 c=24.3734 alpha=90.00 beta=90.00 gamma=120.00
Space group R-3m (No. 166, hexagonal axes)
Asymmetric unit:
Dy  0.0000  0.0000  0.1395
Ho  0.0000  0.0000  0.0000
Fe  0.0000  0.0000  0.5000
Co  0.0000  0.0000  0.3331
Ni  0.0015  0.5008  0.0818

Principal peaks in the range 2θ from 5° to 70°, sorted by position:
hkl 1 0 7, 2θ 33.2, 2.698 Å, intensity 56; hkl 0 1 8, 2θ 36.2, 2.480 Å, intensity 43; hkl 1 1 0, 2θ 36.5, 2.465 Å, intensity 55; hkl 0 2 1, 2θ 42.5, 2.126 Å, intensity 43; hkl 1 1 6, 2θ 42.9, 2.107 Å, intensity 100; hkl 2 0 5, 2θ 46.4, 1.955 Å, intensity 14; hkl 2 1 7, 2θ 63.6, 1.464 Å, intensity 17; hkl 1 2 8, 2θ 65.5, 1.426 Å, intensity 15

---

No. 2
For Dy2HoFe2Co6Ni, a structure optimized by DFT (PBE) gives the calculated powder XRD pattern in this record (CuKα).
Lines closer than 0.1° are merged.

Structure:
Unit cell a=4.9802 b=4.9802 c=24.1208 alpha=90.00 beta=90.00 gamma=120.00
Space group R-3m (No. 166, hexagonal axes)
Asymmetric unit:
Dy  0.0000  0.0000  0.1400
Ho  0.0000  0.0000  0.0000
Fe  0.0000  0.0000  0.3340
Co  0.0010  0.5005  0.9193
Ni  0.0000  0.0000  0.5000

Principal peaks in the range 2θ from 5° to 70°, sorted by position:
hkl 1 0 7, 2θ 33.3, 2.692 Å, intensity 53; hkl 1 1 0, 2θ 36.1, 2.490 Å, intensity 58; hkl 0 1 8, 2θ 36.4, 2.471 Å, intensity 45; hkl 0 2 1, 2θ 42.1, 2.148 Å, intensity 41; hkl 1 1 6, 2θ 42.7, 2.117 Å, intensity 100; hkl 2 1 7, 2θ 63.1, 1.474 Å, intensity 17; hkl 1 2 8, 2θ 65.0, 1.434 Å, intensity 16; hkl 3 0 6, 2θ 69.4, 1.354 Å, intensity 22

---

No. 3
For Dy2HoFeCo6Ni2, a structure optimized by DFT (PBE) gives the calculated powder XRD pattern in this record (CuKα).
Lines closer than 0.1° are merged.

Structure:
Unit cell a=4.9622 b=4.9622 c=24.1459 alpha=90.00 beta=90.00 gamma=120.00
Space group R-3m (No. 166, hexagonal axes)
Asymmetric unit:
Dy  0.0000  0.0000  0.1389
Ho  0.0000  0.0000  0.0000
Fe  0.0000  0.0000  0.5000
Co  0.0018  0.5009  0.9180
Ni  0.0000  0.0000  0.3336

Principal peaks in the range 2θ from 5° to 70°, sorted by position:
hkl 1 0 7, 2θ 33.3, 2.690 Å, intensity 51; hkl 1 1 0, 2θ 36.2, 2.481 Å, intensity 54; hkl 0 1 8, 2θ 36.4, 2.470 Å, intensity 40; hkl 0 2 1, 2θ 42.2, 2.140 Å, intensity 38; hkl 1 1 6, 2θ 42.8, 2.112 Å, intensity 100; hkl 2 1 7, 2θ 63.3, 1.470 Å, intensity 15; hkl 1 2 8, 2θ 65.2, 1.430 Å, intensity 14; hkl 3 0 6, 2θ 69.7, 1.350 Å, intensity 33

---

No. 4
For DyHo2Fe6CoNi2, a structure optimized by DFT (PBE) gives the calculated powder XRD pattern in this record (CuKα).
Lines closer than 0.1° are merged.

Structure:
Unit cell a=4.9794 b=4.9794 c=24.6184 alpha=90.00 beta=90.00 gamma=120.00
Space group R-3m (No. 166, hexagonal axes)
Asymmetric unit:
Dy  0.0000  0.0000  0.0000
Ho  0.0000  0.0000  0.1419
Fe  0.9996  0.4998  0.0824
Co  0.0000  0.0000  0.5000
Ni  0.0000  0.0000  0.3328

Principal peaks in the range 2θ from 5° to 70°, sorted by position:
hkl 1 0 7, 2θ 32.9, 2.725 Å, intensity 46; hkl 0 1 8, 2θ 35.8, 2.505 Å, intensity 32; hkl 1 1 0, 2θ 36.1, 2.490 Å, intensity 52; hkl 0 2 1, 2θ 42.1, 2.148 Å, intensity 32; hkl 1 1 6, 2θ 42.5, 2.128 Å, intensity 100; hkl 0 1 11, 2θ 45.7, 1.986 Å, intensity 12; hkl 2 1 7, 2θ 62.8, 1.479 Å, intensity 14; hkl 3 0 6, 2θ 69.3, 1.357 Å, intensity 21